Structure and simulated XRD peak list of ZnCu4Au (a DFT-relaxed cell (GGA-PBE, Alexandria); copper Kα).

Structure:
```
ZnCu4Au
1.0
4.2428 0.0000 0.0000
0.0000 7.2908 0.0000
-0.0378 0.0000 5.2334
Zn Cu Au
2 8 2
Direct
0.0000 0.0000 0.0000 Zn
0.5000 0.5000 0.0000 Zn
0.0011 0.3326 0.7558 Cu
0.0011 0.6674 0.7558 Cu
0.4989 0.1674 0.2442 Cu
0.4989 0.8326 0.2442 Cu
0.5011 0.1674 0.7558 Cu
0.5011 0.8326 0.7558 Cu
0.9989 0.3326 0.2442 Cu
0.9989 0.6674 0.2442 Cu
0.0000 0.0000 0.5000 Au
0.5000 0.5000 0.5000 Au
```

Most intense lines, 15 to 90 degrees two-theta, most intense first:
| (hkl) | two_theta | intensity |
| --- | --- | --- |
| 2 0 0 | 42.57 | 100 |
| 1 3 0 | 42.89 | 60 |
| 1 1 -2 | 42.31 | 35 |
| 2 2 2 | 62.02 | 22 |
| 1 1 1 | 29.85 | 19 |
| 1 1 0 | 24.27 | 15 |
| 3 3 0 | 78.19 | 15 |
| 0 0 1 | 16.94 | 13 |
| 2 2 -2 | 61.58 | 11 |
| 1 5 -2 | 78.34 | 11 |